(1)
This entry pairs a crystal structure of Nd3Sc2 with its theoretical powder XRD pattern. Radiation: Cu Kα X-rays. Structure: the GGA-PBE geometry in Alexandria.
Peak positions follow from Bragg's law for the DFT cell and can differ from measured ones.

Atomic structure:
```
Nd3Sc2
1.0
-4.4051 5.7721 3.1254
4.4051 -5.7721 3.1254
4.4051 5.7721 -3.1254
Nd Sc
6 4
Cartesian
5.7903 0.7242 0.0000 Nd
0.0000 0.0000 1.5627 Nd
1.3851 5.0479 0.0000 Nd
3.0200 0.7242 3.1254 Nd
0.0000 0.0000 4.6881 Nd
-1.3851 5.0479 3.1254 Nd
3.0755 2.5087 0.0000 Sc
3.0755 -2.5087 3.1254 Sc
1.3297 8.2808 0.0000 Sc
1.3297 3.2634 3.1254 Sc
```

Peak list (10 most intense, 10 to 80 degrees two-theta, by intensity)
| two_theta | I_rel |
| --- | --- |
| 31.39 | 100 |
| 15.35 | 53 |
| 34.10 | 44 |
| 35.75 | 34 |
| 23.28 | 23 |
| 35.21 | 17 |
| 38.52 | 16 |
| 50.71 | 14 |
| 38.61 | 12 |
| 68.48 | 12 |



(2)
This entry pairs a crystal structure of DyHo5Tm with its theoretical powder XRD pattern. Radiation: Cu Kα X-rays. Structure: the GGA-PBE geometry in Alexandria.
Peak positions follow from Bragg's law for the DFT cell and can differ from measured ones.

Atomic structure:
```
DyHo5Tm
1.0
9.1389 0.0000 0.0000
0.0000 3.5635 0.0000
-3.4735 0.0000 13.3761
Dy Ho Tm
2 10 2
Cartesian
0.5747 0.8909 1.4551 Dy
5.0908 2.6727 11.9209 Dy
-1.2970 2.6727 5.0943 Ho
-1.2344 0.8909 11.7095 Ho
1.2779 0.8909 6.8286 Ho
0.7245 2.6727 9.6643 Ho
3.5047 2.6727 1.0168 Ho
2.1608 0.8909 12.3592 Ho
4.9410 0.8909 3.7117 Ho
4.3875 2.6727 6.5474 Ho
6.8999 2.6727 1.6665 Ho
6.9624 0.8909 8.2818 Ho
2.0076 2.6727 4.0254 Tm
3.6578 0.8909 9.3506 Tm
```

Peak list (10 most intense, 10 to 80 degrees two-theta, by intensity)
| two_theta | I_rel |
| --- | --- |
| 32.16 | 100 |
| 31.29 | 94 |
| 31.90 | 85 |
| 32.26 | 60 |
| 30.87 | 50 |
| 32.94 | 49 |
| 33.50 | 43 |
| 32.70 | 42 |
| 57.14 | 37 |
| 51.27 | 35 |



(3)
This entry pairs a crystal structure of Sc6CN4 with its theoretical powder XRD pattern. Radiation: Cu Kα X-rays. Structure: the GGA-PBE geometry in Alexandria.
Peak positions follow from Bragg's law for the DFT cell and can differ from measured ones.

Atomic structure:
```
Sc6CN4
1.0
4.7573 2.7466 3.6984
-4.7573 2.7466 3.6984
0.0000 -5.4932 3.6984
Sc C N
12 2 8
Cartesian
-4.2856 -1.1032 6.1407 Sc
-1.1874 -4.2631 4.9546 Sc
-1.1874 -1.2302 4.2915 Sc
-3.0982 3.1599 4.9546 Sc
-0.4717 1.6434 4.2915 Sc
-1.6591 0.4132 6.8038 Sc
1.6591 -0.4133 4.2915 Sc
0.4717 -1.6434 6.8038 Sc
3.0982 -3.1599 6.1408 Sc
1.1874 1.2302 6.8038 Sc
1.1874 4.2631 6.1407 Sc
4.2856 1.1032 4.9546 Sc
0.0000 0.0000 0.0000 C
0.0000 0.0000 5.5477 C
-3.1042 0.1167 4.6231 N
0.0000 0.0000 2.7738 N
-1.6531 -2.6300 6.4723 N
1.4510 -2.7466 4.6231 N
-1.4510 2.7466 6.4723 N
1.6531 2.6300 4.6231 N
0.0000 0.0000 8.3215 N
3.1042 -0.1167 6.4723 N
```

Peak list (10 most intense, 10 to 80 degrees two-theta, by intensity)
| two_theta | I_rel |
| --- | --- |
| 45.33 | 100 |
| 43.70 | 73 |
| 32.98 | 71 |
| 34.11 | 68 |
| 40.29 | 64 |
| 29.80 | 55 |
| 26.96 | 39 |
| 42.79 | 38 |
| 63.41 | 29 |
| 60.34 | 24 |



(4)
This entry pairs a crystal structure of Ga2SnHg with its theoretical powder XRD pattern. Radiation: Cu Kα X-rays. Structure: the GGA-PBE geometry in Alexandria.
Peak positions follow from Bragg's law for the DFT cell and can differ from measured ones.

Atomic structure:
```
Ga2SnHg
1.0
4.9779 0.0000 0.0000
0.0000 6.8333 0.0000
-2.1729 0.0000 5.7110
Ga Sn Hg
4 2 2
Cartesian
0.1913 0.4135 2.5971 Ga
0.1913 3.0031 2.5971 Ga
2.6138 3.8302 3.1139 Ga
2.6138 6.4198 3.1139 Ga
-1.6120 1.7083 4.8869 Sn
4.4171 5.1250 0.8241 Sn
-0.1630 5.1250 4.9285 Hg
2.9680 1.7083 0.7825 Hg
```

Peak list (10 most intense, 10 to 80 degrees two-theta, by intensity)
| two_theta | I_rel |
| --- | --- |
| 30.49 | 100 |
| 31.64 | 93 |
| 33.12 | 70 |
| 38.55 | 53 |
| 30.35 | 42 |
| 26.08 | 36 |
| 40.98 | 34 |
| 33.00 | 27 |
| 44.28 | 26 |
| 19.87 | 23 |



(5)
This entry pairs a crystal structure of ThMg6Zn6 with its theoretical powder XRD pattern. Radiation: Cu Kα X-rays. Structure: the GGA-PBE geometry in Alexandria.
Peak positions follow from Bragg's law for the DFT cell and can differ from measured ones.

Atomic structure:
```
ThMg6Zn6
1.0
-2.7281 4.7349 4.7823
2.7281 -4.7349 4.7823
2.7281 4.7349 -4.7823
Th Mg Zn
1 6 6
Cartesian
0.0000 0.0000 0.0000 Th
2.7281 1.9243 0.0000 Mg
0.0000 0.0000 3.3196 Mg
0.0000 3.3074 0.0000 Mg
0.0000 6.1625 0.0000 Mg
0.0000 0.0000 6.2449 Mg
0.0000 2.8106 4.7823 Mg
1.3641 2.3675 -2.3911 Zn
1.3641 -2.3675 2.3911 Zn
2.7281 0.0000 2.1020 Zn
-1.3641 2.3675 2.3911 Zn
1.3641 2.3675 2.3911 Zn
0.0000 4.7349 2.6803 Zn
```

Peak list (10 most intense, 10 to 80 degrees two-theta, by intensity)
| two_theta | I_rel |
| --- | --- |
| 37.96 | 100 |
| 26.50 | 82 |
| 13.16 | 63 |
| 38.07 | 51 |
| 54.58 | 35 |
| 37.80 | 35 |
| 37.62 | 29 |
| 61.96 | 26 |
| 18.73 | 26 |
| 54.82 | 24 |



(6)
This entry pairs a crystal structure of Er3Fe2Si4 with its theoretical powder XRD pattern. Radiation: Cu Kα X-rays. Structure: the GGA-PBE geometry in Alexandria.
Peak positions follow from Bragg's law for the DFT cell and can differ from measured ones.

Atomic structure:
```
Er3Fe2Si4
1.0
5.1736 -2.0318 0.0000
5.1736 2.0318 0.0000
-2.3296 0.0000 7.4384
Er Fe Si
3 2 4
Cartesian
0.0000 0.0000 0.0000 Er
3.2420 0.0000 2.2817 Er
4.7755 0.0000 5.1567 Er
1.7562 0.0000 4.7529 Fe
6.2613 0.0000 2.6855 Fe
0.1507 0.0000 3.0319 Si
0.7670 0.0000 6.8293 Si
7.2505 0.0000 0.6091 Si
7.8668 0.0000 4.4066 Si
```

Peak list (10 most intense, 10 to 80 degrees two-theta, by intensity)
| two_theta | I_rel |
| --- | --- |
| 25.31 | 100 |
| 35.09 | 69 |
| 35.85 | 67 |
| 44.60 | 67 |
| 34.33 | 51 |
| 24.44 | 45 |
| 36.23 | 44 |
| 37.21 | 33 |
| 76.00 | 30 |
| 31.87 | 24 |



(7)
This entry pairs a crystal structure of Ni3GeH with its theoretical powder XRD pattern. Radiation: Cu Kα X-rays. Structure: the GGA-PBE geometry in Alexandria.
Peak positions follow from Bragg's law for the DFT cell and can differ from measured ones.

Atomic structure:
```
Ni3GeH
1.0
6.3103 0.0000 0.0000
0.0000 4.6501 0.0000
-1.1955 0.0000 6.7035
Ni Ge H
12 4 4
Cartesian
0.1697 0.3962 1.2344 Ni
-0.4280 1.9289 4.5862 Ni
1.1891 2.6960 0.4176 Ni
0.5914 4.2792 3.7694 Ni
0.9525 0.5137 6.2093 Ni
1.5502 1.8113 2.8575 Ni
3.5646 2.8388 3.8460 Ni
4.1624 4.1364 0.4943 Ni
4.5235 0.3709 2.9341 Ni
3.9257 1.9541 6.2859 Ni
5.5429 2.7212 2.1173 Ni
4.9451 4.2539 5.4691 Ni
1.6314 2.8888 5.3991 Ge
2.2292 4.0863 2.0473 Ge
2.8857 0.5638 4.6562 Ge
3.4834 1.7612 1.3044 Ge
-0.7433 1.0991 6.2415 H
-0.1456 1.2259 2.8898 H
5.2604 3.4242 3.8138 H
5.8582 3.5510 0.4620 H
```

Peak list (10 most intense, 10 to 80 degrees two-theta, by intensity)
| two_theta | I_rel |
| --- | --- |
| 44.53 | 100 |
| 45.07 | 72 |
| 43.04 | 61 |
| 47.82 | 56 |
| 40.88 | 49 |
| 71.56 | 20 |
| 58.55 | 17 |
| 79.94 | 14 |
| 78.29 | 13 |
| 63.11 | 11 |



(8)
This entry pairs a crystal structure of Ca2La2Fe with its theoretical powder XRD pattern. Radiation: Cu Kα X-rays. Structure: the GGA-PBE geometry in Alexandria.
Peak positions follow from Bragg's law for the DFT cell and can differ from measured ones.

Atomic structure:
```
Ca2La2Fe
1.0
7.1248 0.0000 0.0000
0.0000 7.1248 0.0000
0.0000 0.0000 6.4400
Ca La Fe
4 4 2
Cartesian
1.2849 2.2774 0.0000 Ca
2.2774 5.8398 0.0000 Ca
4.8473 1.2849 0.0000 Ca
5.8398 4.8473 0.0000 Ca
1.2711 4.8335 3.2200 La
2.2913 1.2711 3.2200 La
4.8335 5.8537 3.2200 La
5.8537 2.2913 3.2200 La
0.0000 0.0000 3.2200 Fe
3.5624 3.5624 3.2200 Fe
```

Peak list (10 most intense, 10 to 80 degrees two-theta, by intensity)
| two_theta | I_rel |
| --- | --- |
| 31.32 | 100 |
| 13.75 | 84 |
| 27.70 | 48 |
| 55.02 | 31 |
| 51.32 | 24 |
| 25.00 | 19 |
| 49.37 | 19 |
| 28.00 | 19 |
| 40.02 | 18 |
| 39.80 | 15 |